This entry pairs a crystal structure of GdCdRh2 with its calculated X-ray powder pattern. Radiation: CuKα. Structure: a structure optimized by DFT (PBE).
Lines closer than 0.1° are merged.

Most intense lines, 10 to 80 degrees two-theta, by angle:
2θ = 23.0°, 3.862 Å, I = 16
2θ = 26.7°, 3.344 Å, I = 18
2θ = 38.1°, 2.365 Å, I = 1000
2θ = 44.9°, 2.017 Å, I = 9
2θ = 47.1°, 1.931 Å, I = 5
2θ = 54.9°, 1.672 Å, I = 170
2θ = 62.1°, 1.496 Å, I = 7
2θ = 68.8°, 1.365 Å, I = 340

Cell lengths 6.6889, 6.6889, 6.6889 Å; angles 90.00, 90.00, 90.00 degrees
Element x y z (fractional)
Gd 0.0000 0.0000 0.0000
Gd 0.0000 0.5000 0.5000
Gd 0.5000 0.0000 0.5000
Gd 0.5000 0.5000 0.0000
Cd 0.0000 0.0000 0.5000
Cd 0.0000 0.5000 0.0000
Cd 0.5000 0.0000 0.0000
Cd 0.5000 0.5000 0.5000
Rh 0.2500 0.2500 0.2500
Rh 0.2500 0.2500 0.7500
Rh 0.2500 0.7500 0.2500
Rh 0.2500 0.7500 0.7500
Rh 0.7500 0.2500 0.2500
Rh 0.7500 0.2500 0.7500
Rh 0.7500 0.7500 0.2500
Rh 0.7500 0.7500 0.7500

***

This entry pairs a crystal structure of Lu2B6Os with its calculated X-ray powder pattern. Radiation: CuKα. Structure: a structure optimized by DFT (PBE).
Lines closer than 0.1° are merged.

Most intense lines, 10 to 80 degrees two-theta, by angle:
2θ = 24.7°, 3.599 Å, I = 1000
2θ = 30.7°, 2.910 Å, I = 646
2θ = 31.4°, 2.850 Å, I = 213
2θ = 33.0°, 2.718 Å, I = 289
2θ = 33.7°, 2.662 Å, I = 247
2θ = 39.8°, 2.262 Å, I = 812
2θ = 40.4°, 2.234 Å, I = 258
2θ = 41.6°, 2.169 Å, I = 355
2θ = 42.2°, 2.140 Å, I = 310
2θ = 60.5°, 1.531 Å, I = 292

Cell lengths 9.0329, 11.3997, 3.5985 Å; angles 90.00, 90.00, 90.00 degrees
Element x y z (fractional)
Lu 0.0546 0.1264 0.0000
Lu 0.1794 0.4139 0.0000
Lu 0.3206 0.9139 0.0000
Lu 0.4454 0.6264 0.0000
Lu 0.5546 0.3736 0.0000
Lu 0.6794 0.0861 0.0000
Lu 0.8206 0.5861 0.0000
Lu 0.9454 0.8736 0.0000
B 0.0169 0.2870 0.5000
B 0.0543 0.5662 0.5000
B 0.1084 0.9698 0.5000
B 0.1323 0.8150 0.5000
B 0.2068 0.2333 0.5000
B 0.2502 0.0789 0.5000
B 0.2498 0.5789 0.5000
B 0.2932 0.7333 0.5000
B 0.3677 0.3150 0.5000
B 0.3916 0.4698 0.5000
B 0.4457 0.0662 0.5000
B 0.4831 0.7870 0.5000
B 0.5169 0.2130 0.5000
B 0.5543 0.9338 0.5000
B 0.6084 0.5302 0.5000
B 0.6323 0.6850 0.5000
B 0.7068 0.2667 0.5000
B 0.7502 0.4211 0.5000
B 0.7498 0.9211 0.5000
B 0.7932 0.7667 0.5000
B 0.8677 0.1850 0.5000
B 0.8916 0.0302 0.5000
B 0.9457 0.4338 0.5000
B 0.9831 0.7130 0.5000
Os 0.1387 0.6787 0.0000
Os 0.3613 0.1787 0.0000
Os 0.6387 0.8213 0.0000
Os 0.8613 0.3213 0.0000

***

This entry pairs a crystal structure of K3SeO4F with its calculated X-ray powder pattern. Radiation: CuKα. Structure: a structure optimized by DFT (PBE).
Lines closer than 0.1° are merged.

Most intense lines, 10 to 80 degrees two-theta, by angle:
2θ = 16.8°, 5.287 Å, I = 280
2θ = 22.7°, 3.915 Å, I = 280
2θ = 23.8°, 3.739 Å, I = 188
2θ = 28.4°, 3.146 Å, I = 1000
2θ = 30.7°, 2.912 Å, I = 272
2θ = 33.9°, 2.644 Å, I = 409
2θ = 35.4°, 2.534 Å, I = 418
2θ = 46.4°, 1.957 Å, I = 313
2θ = 53.2°, 1.723 Å, I = 162
2θ = 58.7°, 1.573 Å, I = 138

Cell lengths 7.8659, 7.8659, 7.8659 Å; angles 123.24, 123.24, 84.47 degrees
Element x y z (fractional)
K 0.1906 0.6906 0.8812
K 0.2500 0.2500 0.0000
K 0.3094 0.1906 0.5000
K 0.6906 0.8094 0.5000
K 0.7500 0.7500 0.0000
K 0.8094 0.3094 0.1188
Se 0.2500 0.7500 0.5000
Se 0.7500 0.2500 0.5000
O 0.0371 0.7921 0.5000
O 0.2079 0.7079 0.2450
O 0.2921 0.5371 0.5000
O 0.4629 0.9629 0.7550
O 0.5371 0.0371 0.2450
O 0.7079 0.4629 0.5000
O 0.7921 0.2921 0.7550
O 0.9629 0.2079 0.5000
F 0.0000 0.0000 0.0000
F 0.5000 0.5000 0.0000

***

This entry pairs a crystal structure of InAgP2H2O8 with its calculated X-ray powder pattern. Radiation: CuKα. Structure: a structure optimized by DFT (PBE).
Lines closer than 0.1° are merged.

Most intense lines, 10 to 80 degrees two-theta, by angle:
2θ = 11.8°, 7.499 Å, I = 402
2θ = 21.2°, 4.182 Å, I = 329
2θ = 23.7°, 3.750 Å, I = 546
2θ = 26.7°, 3.337 Å, I = 1000
2θ = 27.2°, 3.280 Å, I = 324
2θ = 28.3°, 3.153 Å, I = 261
2θ = 29.7°, 3.008 Å, I = 406
2θ = 31.1°, 2.875 Å, I = 488
2θ = 32.7°, 2.737 Å, I = 315
2θ = 36.0°, 2.492 Å, I = 309

Cell lengths 6.7189, 14.9986, 6.7722 Å; angles 90.00, 96.62, 90.00 degrees
Element x y z (fractional)
In 0.2274 0.1087 0.3800
In 0.2274 0.3913 0.8800
In 0.7726 0.6087 0.1200
In 0.7726 0.8913 0.6200
Ag 0.2091 0.5643 0.4871
Ag 0.2091 0.9357 0.9871
Ag 0.7909 0.0643 0.0129
Ag 0.7909 0.4357 0.5129
P 0.2512 0.6142 0.9985
P 0.2512 0.8858 0.4985
P 0.2679 0.1560 0.8822
P 0.2679 0.3440 0.3822
P 0.7321 0.6560 0.6178
P 0.7321 0.8440 0.1178
P 0.7488 0.1142 0.5015
P 0.7488 0.3858 0.0015
H 0.0634 0.7167 0.8141
H 0.0634 0.7833 0.3141
H 0.4477 0.7318 0.5707
H 0.4477 0.7682 0.0707
H 0.5523 0.2318 0.9293
H 0.5523 0.2682 0.4293
H 0.9366 0.2167 0.6859
H 0.9366 0.2833 0.1859
O 0.0990 0.5997 0.1506
O 0.0990 0.9003 0.6506
O 0.1633 0.2468 0.8546
O 0.1633 0.2532 0.3546
O 0.1960 0.1012 0.0545
O 0.1960 0.3988 0.5545
O 0.2014 0.7038 0.8754
O 0.2014 0.7962 0.3754
O 0.2334 0.0991 0.6943
O 0.2334 0.4009 0.1943
O 0.2515 0.5359 0.8504
O 0.2515 0.9641 0.3504
O 0.4584 0.6359 0.1089
O 0.4584 0.8641 0.6089
O 0.4954 0.6697 0.5636
O 0.4954 0.8303 0.0636
O 0.5046 0.1697 0.9364
O 0.5046 0.3303 0.4364
O 0.5416 0.1359 0.3911
O 0.5416 0.3641 0.8911
O 0.7485 0.0359 0.6496
O 0.7485 0.4641 0.1496
O 0.7666 0.5991 0.8057
O 0.7666 0.9009 0.3057
O 0.7986 0.2038 0.6246
O 0.7986 0.2962 0.1246
O 0.8040 0.6012 0.4455
O 0.8040 0.8988 0.9455
O 0.8367 0.7468 0.6454
O 0.8367 0.7532 0.1454
O 0.9010 0.0997 0.3494
O 0.9010 0.4003 0.8494

***

This entry pairs a crystal structure of V2PC with its calculated X-ray powder pattern. Radiation: CuKα. Structure: a structure optimized by DFT (PBE).
Lines closer than 0.1° are merged.

Most intense lines, 10 to 80 degrees two-theta, by angle:
2θ = 32.9°, 2.724 Å, I = 39
2θ = 33.7°, 2.662 Å, I = 242
2θ = 34.7°, 2.586 Å, I = 84
2θ = 42.1°, 2.147 Å, I = 1000
2θ = 47.8°, 1.904 Å, I = 62
2θ = 50.2°, 1.816 Å, I = 89
2θ = 60.2°, 1.537 Å, I = 253
2θ = 61.8°, 1.500 Å, I = 105
2θ = 70.0°, 1.344 Å, I = 43
2θ = 76.2°, 1.250 Å, I = 151

Cell lengths 3.0742, 3.0742, 10.8964 Å; angles 90.00, 90.00, 120.00 degrees
Element x y z (fractional)
V 0.3333 0.6667 0.0982
V 0.3333 0.6667 0.4018
V 0.6667 0.3333 0.5982
V 0.6667 0.3333 0.9018
P 0.3333 0.6667 0.7500
P 0.6667 0.3333 0.2500
C 0.0000 0.0000 0.0000
C 0.0000 0.0000 0.5000

***

This entry pairs a crystal structure of AgBi6S9 with its calculated X-ray powder pattern. Radiation: CuKα. Structure: a structure optimized by DFT (PBE).
Lines closer than 0.1° are merged.

Most intense lines, 10 to 80 degrees two-theta, by angle:
2θ = 23.8°, 3.734 Å, I = 663
2θ = 25.2°, 3.536 Å, I = 875
2θ = 25.4°, 3.509 Å, I = 722
2θ = 25.9°, 3.436 Å, I = 442
2θ = 29.4°, 3.039 Å, I = 607
2θ = 30.7°, 2.917 Å, I = 1000
2θ = 38.8°, 2.320 Å, I = 284
2θ = 41.6°, 2.173 Å, I = 278
2θ = 44.3°, 2.047 Å, I = 318
2θ = 46.2°, 1.963 Å, I = 334

Cell lengths 7.1861, 7.1861, 15.0778 Å; angles 98.83, 98.83, 33.09 degrees
Element x y z (fractional)
Ag 0.0000 0.0000 0.0000
Bi 0.0587 0.0587 0.3096
Bi 0.2499 0.2499 0.8827
Bi 0.3530 0.3530 0.4358
Bi 0.6470 0.6470 0.5642
Bi 0.7501 0.7501 0.1173
Bi 0.9413 0.9413 0.6904
S 0.0000 0.0000 0.5000
S 0.1148 0.1148 0.1473
S 0.2913 0.2913 0.6146
S 0.3566 0.3566 0.0423
S 0.4215 0.4215 0.2740
S 0.5785 0.5785 0.7260
S 0.6434 0.6434 0.9577
S 0.7087 0.7087 0.3854
S 0.8852 0.8852 0.8527

***

This entry pairs a crystal structure of NaS2O6 with its calculated X-ray powder pattern. Radiation: CuKα. Structure: a structure optimized by DFT (PBE).
Lines closer than 0.1° are merged.

Most intense lines, 10 to 80 degrees two-theta, by angle:
2θ = 23.8°, 3.734 Å, I = 324
2θ = 25.3°, 3.526 Å, I = 1000
2θ = 25.4°, 3.506 Å, I = 893
2θ = 25.5°, 3.492 Å, I = 991
2θ = 31.6°, 2.832 Å, I = 152
2θ = 32.3°, 2.770 Å, I = 174
2θ = 36.0°, 2.496 Å, I = 193
2θ = 36.2°, 2.482 Å, I = 524
2θ = 36.5°, 2.460 Å, I = 169
2θ = 40.6°, 2.222 Å, I = 246

Cell lengths 5.6646, 4.9658, 11.4605 Å; angles 90.00, 119.10, 90.00 degrees
Element x y z (fractional)
Na 0.0000 0.0000 0.0000
Na 0.0000 0.5000 0.5000
S 0.3441 0.1936 0.3345
S 0.3441 0.3064 0.8345
S 0.6559 0.6936 0.1655
S 0.6559 0.8064 0.6655
O 0.1131 0.2363 0.2014
O 0.1131 0.2637 0.7014
O 0.3112 0.2306 0.9491
O 0.3112 0.2694 0.4491
O 0.3858 0.7275 0.1506
O 0.3858 0.7725 0.6506
O 0.6142 0.2275 0.3494
O 0.6142 0.2725 0.8494
O 0.6888 0.7306 0.5509
O 0.6888 0.7694 0.0509
O 0.8869 0.7363 0.2986
O 0.8869 0.7637 0.7986

***

This entry pairs a crystal structure of AlPO4 with its calculated X-ray powder pattern. Radiation: CuKα. Structure: a structure optimized by DFT (PBE).
Lines closer than 0.1° are merged.

Most intense lines, 10 to 80 degrees two-theta, by angle:
2θ = 14.6°, 6.070 Å, I = 163
2θ = 16.9°, 5.257 Å, I = 162
2θ = 20.1°, 4.415 Å, I = 633
2θ = 21.8°, 4.071 Å, I = 517
2θ = 22.4°, 3.974 Å, I = 1000
2θ = 27.7°, 3.218 Å, I = 182
2θ = 29.4°, 3.035 Å, I = 109
2θ = 31.5°, 2.843 Å, I = 317
2θ = 34.8°, 2.575 Å, I = 143
2θ = 51.2°, 1.785 Å, I = 105

Cell lengths 12.2556, 12.2556, 12.2556 Å; angles 118.15, 118.15, 118.15 degrees
Element x y z (fractional)
Al 0.0563 0.5023 0.3536
Al 0.3536 0.0563 0.5023
Al 0.4977 0.6464 0.9437
Al 0.5023 0.3536 0.0563
Al 0.6464 0.9437 0.4977
Al 0.9437 0.4977 0.6464
P 0.0358 0.7397 0.5955
P 0.2603 0.4045 0.9642
P 0.4045 0.9642 0.2603
P 0.5955 0.0358 0.7397
P 0.7397 0.5955 0.0358
P 0.9642 0.2602 0.4045
O 0.0026 0.5954 0.4388
O 0.0277 0.6949 0.6915
O 0.0499 0.8492 0.3129
O 0.1508 0.6871 0.9501
O 0.2005 0.3802 0.5967
O 0.3051 0.3085 0.9723
O 0.3085 0.9723 0.3051
O 0.3129 0.0499 0.8492
O 0.3802 0.5967 0.2005
O 0.4033 0.7995 0.6198
O 0.4046 0.5612 0.9974
O 0.4388 0.0026 0.5954
O 0.5612 0.9974 0.4046
O 0.5954 0.4388 0.0026
O 0.5967 0.2005 0.3802
O 0.6198 0.4033 0.7995
O 0.6871 0.9501 0.1508
O 0.6915 0.0277 0.6949
O 0.6949 0.6915 0.0277
O 0.7995 0.6198 0.4033
O 0.8492 0.3129 0.0499
O 0.9501 0.1508 0.6871
O 0.9723 0.3051 0.3085
O 0.9974 0.4046 0.5612

***

This entry pairs a crystal structure of CaClO with its calculated X-ray powder pattern. Radiation: CuKα. Structure: a structure optimized by DFT (PBE).
Lines closer than 0.1° are merged.

Most intense lines, 10 to 80 degrees two-theta, by angle:
2θ = 19.0°, 4.660 Å, I = 297
2θ = 25.8°, 3.459 Å, I = 186
2θ = 27.5°, 3.243 Å, I = 987
2θ = 32.2°, 2.777 Å, I = 194
2θ = 38.6°, 2.330 Å, I = 223
2θ = 39.0°, 2.311 Å, I = 1000
2θ = 45.4°, 1.997 Å, I = 631
2θ = 61.1°, 1.516 Å, I = 282
2θ = 61.4°, 1.511 Å, I = 226
2θ = 79.6°, 1.205 Å, I = 203

Cell lengths 3.9937, 3.9937, 9.3206 Å; angles 90.00, 90.00, 120.00 degrees
Element x y z (fractional)
Ca 0.3333 0.6667 0.0000
Ca 0.6667 0.3333 0.5000
Cl 0.3333 0.6667 0.3063
Cl 0.6667 0.3333 0.8063
O 0.0000 0.0000 0.0434
O 0.0000 0.0000 0.5434

***

This entry pairs a crystal structure of K2Se5 with its calculated X-ray powder pattern. Radiation: CuKα. Structure: a structure optimized by DFT (PBE).
Lines closer than 0.1° are merged.

Most intense lines, 10 to 80 degrees two-theta, by angle:
2θ = 17.9°, 4.953 Å, I = 277
2θ = 18.5°, 4.787 Å, I = 382
2θ = 19.0°, 4.678 Å, I = 582
2θ = 26.0°, 3.422 Å, I = 506
2θ = 27.0°, 3.302 Å, I = 493
2θ = 27.2°, 3.278 Å, I = 314
2θ = 30.0°, 2.979 Å, I = 1000
2θ = 30.4°, 2.942 Å, I = 344
2θ = 31.1°, 2.878 Å, I = 290
2θ = 46.7°, 1.947 Å, I = 344

Cell lengths 6.6734, 6.9483, 19.8126 Å; angles 90.00, 90.00, 90.00 degrees
Element x y z (fractional)
K 0.0872 0.1757 0.1813
K 0.1482 0.4321 0.5070
K 0.3518 0.5679 0.0070
K 0.4128 0.8243 0.6813
K 0.5872 0.3243 0.8187
K 0.6482 0.0679 0.4930
K 0.8518 0.9321 0.9930
K 0.9128 0.6757 0.3187
Se 0.0348 0.7276 0.8084
Se 0.0660 0.4164 0.8626
Se 0.0966 0.6659 0.1564
Se 0.1209 0.9266 0.5362
Se 0.2414 0.0679 0.3707
Se 0.2586 0.9321 0.8707
Se 0.3791 0.0734 0.0362
Se 0.4034 0.3341 0.6564
Se 0.4340 0.5836 0.3626
Se 0.4652 0.2724 0.3084
Se 0.5348 0.7724 0.1916
Se 0.5660 0.0836 0.1374
Se 0.5966 0.8341 0.8436
Se 0.6209 0.5734 0.4638
Se 0.7414 0.4321 0.6293
Se 0.7586 0.5679 0.1293
Se 0.8791 0.4266 0.9638
Se 0.9034 0.1659 0.3436
Se 0.9340 0.9164 0.6374
Se 0.9652 0.2276 0.6916